This entry pairs a crystal structure of CsB2WF8 with its computed X-ray diffraction stick pattern. Radiation: CuKα. Structure: a cell relaxed with GGA+U.
Intensities are scaled so that the largest is 100.

Main lines, by angle (10° ≤ 2θ ≤ 80°):
19.43 deg, intensity 51
23.69 deg, intensity 100
31.09 deg, intensity 43
36.24 deg, intensity 30
36.93 deg, intensity 24
39.24 deg, intensity 48
39.46 deg, intensity 19
43.55 deg, intensity 14
49.02 deg, intensity 19
51.06 deg, intensity 15

Cell and atoms:
a b c (Å): 8.3135 8.3135 8.3135
angles (deg): 40.49 40.49 40.49
Fractional positions:
Cs  0.0000  0.0000  0.0000
B  0.2524  0.2524  0.2524
B  0.7476  0.7476  0.7476
W  0.5000  0.5000  0.5000
F  0.0366  0.1688  0.4895
F  0.1688  0.4895  0.0366
F  0.3143  0.3143  0.3143
F  0.4895  0.0366  0.1688
F  0.5105  0.9634  0.8312
F  0.6857  0.6857  0.6857
F  0.8312  0.5105  0.9634
F  0.9634  0.8312  0.5105